[1]
Pm4InPd: simulated powder diffraction line list (Cu Kα, 1.54184 Å), based on the GGA-PBE geometry in Alexandria.

Peak list (10 most intense, 10° ≤ 2θ ≤ 90°, in order of falling intensity)
33.18°, rel. 100; 33.97°, rel. 74; 30.97°, rel. 73; 35.76°, rel. 50; 29.37°, rel. 40; 30.86°, rel. 38; 29.85°, rel. 38; 54.63°, rel. 33; 43.89°, rel. 27; 34.12°, rel. 26

a b c (Å): 8.9320 14.2737 5.9242
angles (deg): 90.00 111.87 90.00
Space group C2/c (No. 15)
Unique sites:
Pm 0.1143 0.1890 0.0714 [8 per cell]
Pm 0.2173 0.4234 0.3529 [8 per cell]
In 0.0000 0.3818 0.7500 [4 per cell]
Pd 0.0000 0.0013 0.7500 [4 per cell]

***

[2]
Sc2GeIrPd: simulated powder diffraction line list (Cu Kα, 1.54184 Å), based on the GGA-PBE geometry in Alexandria.

Peak list (10 most intense, 10° ≤ 2θ ≤ 90°, in order of falling intensity)
18.21°, rel. 100; 36.91°, rel. 74; 25.87°, rel. 70; 52.51°, rel. 53; 25.55°, rel. 43; 36.00°, rel. 40; 44.86°, rel. 33; 40.63°, rel. 26; 65.90°, rel. 26; 53.18°, rel. 25

a b c (Å): 4.8712 4.8712 4.9901
angles (deg): 90.00 90.00 90.00
Space group P4/mmm (No. 123)
Unique sites:
Sc 0.0000 0.5000 0.0000 [2 per cell]
Ge 0.0000 0.0000 0.5000 [1 per cell]
Ir 0.5000 0.5000 0.0000 [1 per cell]
Pd 0.5000 0.5000 0.5000 [1 per cell]

***

What is the formula in the second record?
Sc2GeIrPd